Starting from a crystal structure in Alexandria, relaxed with PBE, the powder diffraction line list of HoEr3Ru2 was computed for CuKα.
Peak positions follow from Bragg's law for the DFT cell and can differ from measured ones.

```
12
Lattice="-3.3327 6.7000 3.4776 3.3327 -6.7000 3.4776 3.3327 6.7000 -3.4776" Properties=species:S:1:pos:R:3 pbc="T T T"
Ho 0.0000 0.0000 0.0000
Ho 0.0000 0.0000 3.4776
Er 3.3327 3.5469 -1.7388
Er 3.3327 0.0000 1.7388
Er 0.0000 3.1532 1.7388
Er 3.3327 3.5469 1.7388
Er 0.0000 6.7000 1.7388
Er 0.0000 3.1532 5.2164
Ru 4.8038 1.8041 0.0000
Ru 1.4711 4.8959 0.0000
Ru 1.8617 1.8041 3.4776
Ru -1.4711 4.8959 3.4776
```

Largest 12 diffraction maxima, in order of rising 2θ, 10° ≤ 2θ ≤ 90°:
Position (°2θ)	d/Å	I/Imax
22.75	3.909	47
26.61	3.350	36
26.75	3.333	40
28.93	3.087	27
29.73	3.005	42
35.37	2.537	73
37.27	2.413	41
37.37	2.406	43
38.09	2.363	100
39.81	2.265	31
56.59	1.626	23
66.80	1.400	38


Starting from a crystal structure in Alexandria, relaxed with PBE, the powder diffraction line list of Ho3Er4Ru4 was computed for CuKα.
Peak positions follow from Bragg's law for the DFT cell and can differ from measured ones.

```
11
Lattice="-1.7543 4.4103 8.0719 1.7543 -4.4103 8.0719 1.7543 4.4103 -8.0719" Properties=species:S:1:pos:R:3 pbc="T T T"
Ho 0.0000 0.0000 0.0000
Ho 1.7543 0.0000 6.4938
Ho 0.0000 4.4103 1.5781
Er 1.7543 1.6833 -2.6636
Er 1.7543 1.6833 2.6636
Er 0.0000 2.7270 5.4084
Er 0.0000 2.7270 10.7355
Ru 0.0000 0.0000 4.1566
Ru 1.7543 2.4362 0.0000
Ru 0.0000 1.9741 8.0719
Ru 0.0000 0.0000 11.9873
```

Largest 12 diffraction maxima, in order of rising 2θ, 10° ≤ 2θ ≤ 90°:
Position (°2θ)	d/Å	I/Imax
29.46	3.032	24
30.41	2.939	26
33.09	2.707	100
34.77	2.580	55
35.39	2.536	68
37.87	2.376	24
39.22	2.297	42
41.60	2.171	23
52.14	1.754	23
53.00	1.728	20
63.33	1.469	34
64.20	1.451	19


Starting from a crystal structure in Alexandria, relaxed with PBE, the powder diffraction line list of HoEr6S8 was computed for CuKα.
Peak positions follow from Bragg's law for the DFT cell and can differ from measured ones.

```
15
Lattice="0.0000 5.4558 5.4558 5.4558 0.0000 5.4558 5.4558 5.4558 0.0000" Properties=species:S:1:pos:R:3 pbc="T T T"
Ho 0.0000 0.0000 0.0000
Er 2.7279 2.7279 0.0000
Er 2.7279 0.0000 2.7279
Er 5.4558 2.7279 2.7279
Er 0.0000 2.7279 2.7279
Er 2.7279 5.4558 2.7279
Er 2.7279 2.7279 5.4558
S 2.7279 2.7279 2.7279
S 5.4558 5.4558 2.7484
S 5.4558 2.7484 5.4558
S 8.1632 5.4558 5.4558
S 2.7484 5.4558 5.4558
S 5.4558 8.1632 5.4558
S 5.4558 5.4558 8.1632
S 8.1837 8.1837 8.1837
```

Largest 12 diffraction maxima, in order of rising 2θ, 10° ≤ 2θ ≤ 90°:
Position (°2θ)	d/Å	I/Imax
14.06	6.300	13
16.25	5.456	8
27.10	3.290	9
28.33	3.150	75
32.83	2.728	100
47.11	1.929	72
55.89	1.645	37
58.61	1.575	25
68.83	1.364	11
76.04	1.252	15
78.38	1.220	32
87.62	1.114	25


Copy entry 2 word for word.
Starting from a crystal structure in Alexandria, relaxed with PBE, the powder diffraction line list of Ho3Er4Ru4 was computed for CuKα.
Peak positions follow from Bragg's law for the DFT cell and can differ from measured ones.

```
11
Lattice="-1.7543 4.4103 8.0719 1.7543 -4.4103 8.0719 1.7543 4.4103 -8.0719" Properties=species:S:1:pos:R:3 pbc="T T T"
Ho 0.0000 0.0000 0.0000
Ho 1.7543 0.0000 6.4938
Ho 0.0000 4.4103 1.5781
Er 1.7543 1.6833 -2.6636
Er 1.7543 1.6833 2.6636
Er 0.0000 2.7270 5.4084
Er 0.0000 2.7270 10.7355
Ru 0.0000 0.0000 4.1566
Ru 1.7543 2.4362 0.0000
Ru 0.0000 1.9741 8.0719
Ru 0.0000 0.0000 11.9873
```

Largest 12 diffraction maxima, in order of rising 2θ, 10° ≤ 2θ ≤ 90°:
Position (°2θ)	d/Å	I/Imax
29.46	3.032	24
30.41	2.939	26
33.09	2.707	100
34.77	2.580	55
35.39	2.536	68
37.87	2.376	24
39.22	2.297	42
41.60	2.171	23
52.14	1.754	23
53.00	1.728	20
63.33	1.469	34
64.20	1.451	19